For BaPrMgMn2O6, a DFT-relaxed cell (GGA+U, the Materials Project) gives the simulated powder diffractogram in this record (Cu Kα, 1.54184 Å).
Neutral-atom scattering factors, no anomalous dispersion.

Main lines, most intense first (2θ from 15° to 90°):
two_theta  I (rel.)
27.64  1000
28.41  931
32.29  865
32.84  792
46.72  615
36.35  495
54.34  307
55.66  282
45.30  272
47.30  266
58.78  263
57.07  261

Cell and atoms:
a b c (Å): 3.843 5.454 8.008
angles (deg): 90.00 90.00 90.00
Positions (direct):
1 Ba 0.000 0.000 0.000
2 Pr 0.000 0.000 0.500
3 Mg 0.000 0.500 0.000
4 Mn 0.500 0.500 0.269
5 Mn 0.500 0.500 0.731
6 O 0.000 0.500 0.236
7 O 0.000 0.500 0.764
8 O 0.500 0.000 0.288
9 O 0.500 0.000 0.712
10 O 0.500 0.500 0.000
11 O 0.500 0.500 0.500

---

For MgTeWO6, a DFT-relaxed cell (GGA+U, the Materials Project) gives the simulated powder diffractogram in this record (Cu Kα, 1.54184 Å).
Neutral-atom scattering factors, no anomalous dispersion.

Main lines, most intense first (2θ from 15° to 90°):
two_theta  I (rel.)
22.25  1000
22.74  500
31.46  453
30.18  251
31.84  241
32.69  207
33.74  142
51.27  130
46.45  108
45.33  108
54.47  95
53.67  91

Cell and atoms:
a b c (Å): 5.315 5.493 5.711
angles (deg): 63.85 62.36 62.74
Positions (direct):
1 Mg 0.000 0.000 0.000
2 Te 0.842 0.745 0.698
3 W 0.299 0.253 0.248
4 O 0.037 0.577 0.097
5 O 0.061 0.013 0.608
6 O 0.180 0.461 0.533
7 O 0.311 0.027 0.080
8 O 0.638 0.356 0.982
9 O 0.675 0.952 0.400

---

For K2MnSe2O6, a DFT-relaxed cell (GGA+U, the Materials Project) gives the simulated powder diffractogram in this record (Cu Kα, 1.54184 Å).
Neutral-atom scattering factors, no anomalous dispersion.

Main lines, most intense first (2θ from 15° to 90°):
two_theta  I (rel.)
29.57  1000
31.31  936
25.95  323
54.65  272
43.60  237
42.55  228
34.41  214
65.32  202
55.72  171
53.37  140
37.69  138
73.30  121

Cell and atoms:
a b c (Å): 7.162 7.162 7.162
angles (deg): 47.02 47.02 47.02
Positions (direct):
1 K 0.196 0.196 0.196
2 K 0.804 0.804 0.804
3 Mn 0.000 0.000 0.000
4 Se 0.372 0.372 0.372
5 Se 0.628 0.628 0.628
6 O 0.250 0.250 0.727
7 O 0.250 0.727 0.250
8 O 0.273 0.750 0.750
9 O 0.727 0.250 0.250
10 O 0.750 0.273 0.750
11 O 0.750 0.750 0.273

---

For MnHgO3, a DFT-relaxed cell (GGA+U, the Materials Project) gives the simulated powder diffractogram in this record (Cu Kα, 1.54184 Å).
Neutral-atom scattering factors, no anomalous dispersion.

Main lines, most intense first (2θ from 15° to 90°):
two_theta  I (rel.)
32.58  1000
58.14  391
22.88  316
46.75  290
40.19  246
68.26  176
77.70  172
52.66  163
82.28  90
73.04  86
86.81  62

Cell and atoms:
a b c (Å): 3.887 3.887 3.887
angles (deg): 90.00 90.00 90.00
Positions (direct):
1 Mn 0.000 0.000 0.000
2 Hg 0.500 0.500 0.500
3 O 0.000 0.000 0.500
4 O 0.000 0.500 0.000
5 O 0.500 0.000 0.000

---

For Fe6O11F, a DFT-relaxed cell (GGA+U, the Materials Project) gives the simulated powder diffractogram in this record (Cu Kα, 1.54184 Å).
Neutral-atom scattering factors, no anomalous dispersion.

Main lines, most intense first (2θ from 15° to 90°):
two_theta  I (rel.)
35.83  1000
26.94  985
27.58  959
53.58  580
54.30  555
68.50  395
38.93  211
55.53  157
56.94  154
62.28  150
40.73  126
41.18  122

Cell and atoms:
a b c (Å): 5.507 5.507 7.257
angles (deg): 109.03 109.03 71.94
Positions (direct):
1 Fe 0.000 0.000 0.000
2 Fe 0.005 0.005 0.481
3 Fe 0.340 0.340 0.325
4 Fe 0.350 0.350 0.822
5 Fe 0.671 0.671 0.157
6 Fe 0.676 0.676 0.654
7 O 0.036 0.648 0.821
8 O 0.236 0.236 0.532
9 O 0.313 0.699 0.491
10 O 0.361 0.983 0.158
11 O 0.447 0.447 0.117
12 O 0.581 0.581 0.869
13 O 0.648 0.036 0.821
14 O 0.699 0.313 0.491
15 O 0.773 0.773 0.447
16 O 0.893 0.893 0.189
17 O 0.983 0.361 0.158
18 F 0.109 0.109 0.790

---

For CaMn3O4, a DFT-relaxed cell (GGA+U, the Materials Project) gives the simulated powder diffractogram in this record (Cu Kα, 1.54184 Å).
Neutral-atom scattering factors, no anomalous dispersion.

Main lines, most intense first (2θ from 15° to 90°):
two_theta  I (rel.)
39.25  1000
56.73  390
33.75  281
33.88  279
67.76  149
56.51  99
56.85  96
70.99  90
71.29  88
67.54  75
84.34  53
84.50  26

Cell and atoms:
a b c (Å): 5.615 5.615 3.257
angles (deg): 90.00 90.00 109.54
Positions (direct):
1 Ca 0.000 0.000 0.000
2 Mn 0.000 0.500 0.500
3 Mn 0.500 0.000 0.500
4 Mn 0.500 0.500 0.000
5 O 0.255 0.745 0.000
6 O 0.259 0.259 0.500
7 O 0.741 0.741 0.500
8 O 0.745 0.255 0.000

---

For Li8Mn5Fe3B8O24, a DFT-relaxed cell (GGA+U, the Materials Project) gives the simulated powder diffractogram in this record (Cu Kα, 1.54184 Å).
Neutral-atom scattering factors, no anomalous dispersion.

Main lines, most intense first (2θ from 15° to 90°):
two_theta  I (rel.)
33.33  1000
20.36  811
22.43  603
40.84  336
34.02  334
22.18  329
34.69  295
40.12  247
34.18  242
38.01  237
30.30  215
20.64  212

Cell and atoms:
a b c (Å): 6.062 9.724 9.807
angles (deg): 65.02 79.50 78.20
Positions (direct):
1 Li 0.000 0.000 0.000
2 Li 0.000 0.500 0.500
3 Li 0.407 0.066 0.870
4 Li 0.408 0.566 0.371
5 Li 0.498 0.498 0.999
6 Li 0.500 0.000 0.500
7 Li 0.907 0.067 0.370
8 Li 0.908 0.566 0.869
9 Mn 0.266 0.325 0.310
10 Mn 0.266 0.827 0.808
11 Mn 0.639 0.739 0.058
12 Mn 0.765 0.325 0.809
13 Mn 0.767 0.826 0.311
14 Fe 0.138 0.743 0.555
15 Fe 0.139 0.242 0.055
16 Fe 0.639 0.242 0.555
17 B 0.120 0.166 0.646
18 B 0.122 0.666 0.147
19 B 0.288 0.901 0.223
20 B 0.289 0.400 0.722
21 B 0.620 0.166 0.146
22 B 0.620 0.665 0.646
23 B 0.787 0.901 0.720
24 B 0.790 0.398 0.222
25 O 0.118 0.897 0.342
26 O 0.122 0.396 0.841
27 O 0.129 0.050 0.790
28 O 0.132 0.549 0.290
29 O 0.275 0.019 0.082
30 O 0.275 0.520 0.582
31 O 0.292 0.168 0.532
32 O 0.293 0.669 0.031
33 O 0.438 0.286 0.118
34 O 0.439 0.786 0.618
35 O 0.467 0.779 0.249
36 O 0.468 0.278 0.745
37 O 0.616 0.897 0.837
38 O 0.622 0.395 0.340
39 O 0.630 0.050 0.289
40 O 0.630 0.549 0.789
41 O 0.777 0.020 0.579
42 O 0.777 0.515 0.080
43 O 0.793 0.168 0.031
44 O 0.793 0.667 0.532
45 O 0.938 0.287 0.618
46 O 0.940 0.786 0.120
47 O 0.967 0.778 0.745
48 O 0.970 0.276 0.246

---

For Li4Co3NiO8, a DFT-relaxed cell (GGA+U, the Materials Project) gives the simulated powder diffractogram in this record (Cu Kα, 1.54184 Å).
Neutral-atom scattering factors, no anomalous dispersion.

Main lines, most intense first (2θ from 15° to 90°):
two_theta  I (rel.)
18.40  1000
43.89  717
36.31  411
37.93  148
47.97  142
57.77  142
64.22  130
63.36  128
67.46  94
64.32  65
63.41  64
81.14  59

Cell and atoms:
a b c (Å): 5.793 5.800 10.208
angles (deg): 73.53 90.00 60.08
Positions (direct):
1 Li 0.243 0.007 0.238
2 Li 0.246 0.508 0.241
3 Li 0.250 0.499 0.753
4 Li 0.251 0.991 0.761
5 Li 0.749 0.009 0.239
6 Li 0.750 0.501 0.247
7 Li 0.754 0.492 0.759
8 Li 0.757 0.993 0.762
9 Co 0.000 0.000 0.500
10 Co 0.000 0.500 0.000
11 Co 0.000 0.500 0.500
12 Co 0.500 0.000 0.000
13 Co 0.500 0.500 0.000
14 Co 0.500 0.500 0.500
15 Ni 0.000 0.000 0.000
16 Ni 0.500 0.000 0.500
17 O 0.116 0.249 0.396
18 O 0.131 0.736 0.880
19 O 0.132 0.736 0.394
20 O 0.133 0.250 0.881
21 O 0.355 0.290 0.604
22 O 0.365 0.751 0.604
23 O 0.375 0.252 0.123
24 O 0.383 0.748 0.119
25 O 0.617 0.252 0.881
26 O 0.625 0.748 0.877
27 O 0.635 0.249 0.396
28 O 0.645 0.710 0.396
29 O 0.867 0.750 0.119
30 O 0.868 0.264 0.606
31 O 0.869 0.264 0.120
32 O 0.884 0.751 0.604

---

For Sr2CoSbO6, a DFT-relaxed cell (GGA+U, the Materials Project) gives the simulated powder diffractogram in this record (Cu Kα, 1.54184 Å).
Neutral-atom scattering factors, no anomalous dispersion.

Main lines, most intense first (2θ from 15° to 90°):
two_theta  I (rel.)
31.85  1000
31.18  528
55.91  403
44.68  370
66.56  203
57.16  188
46.62  161
19.21  112
65.04  110
83.75  104
73.89  89
74.25  88

Cell and atoms:
a b c (Å): 5.624 5.624 5.624
angles (deg): 118.68 118.68 92.31
Positions (direct):
1 Sr 0.250 0.750 0.500
2 Sr 0.750 0.250 0.500
3 Co 0.000 0.000 0.000
4 Sb 0.500 0.500 0.000
5 O 0.241 0.241 0.000
6 O 0.255 0.255 0.511
7 O 0.255 0.745 0.000
8 O 0.745 0.255 0.000
9 O 0.745 0.745 0.489
10 O 0.759 0.759 0.000

---

For LaMn3V4O12, a DFT-relaxed cell (GGA+U, the Materials Project) gives the simulated powder diffractogram in this record (Cu Kα, 1.54184 Å).
Neutral-atom scattering factors, no anomalous dispersion.

Main lines, most intense first (2θ from 15° to 90°):
two_theta  I (rel.)
33.22  1000
33.50  592
59.74  457
33.11  326
16.42  220
47.19  197
48.03  185
48.19  176
59.17  158
59.58  158
41.08  155
37.57  150

Cell and atoms:
a b c (Å): 6.585 6.585 7.578
angles (deg): 125.00 125.00 69.99
Positions (direct):
1 La 0.000 0.000 0.000
2 Mn 0.000 0.000 0.500
3 Mn 0.500 0.500 0.000
4 Mn 0.500 0.500 0.500
5 V 0.000 0.500 0.000
6 V 0.000 0.500 0.500
7 V 0.500 0.000 0.000
8 V 0.500 0.000 0.500
9 O 0.108 0.484 0.286
10 O 0.179 0.179 0.888
11 O 0.186 0.186 0.478
12 O 0.306 0.684 0.174
13 O 0.316 0.694 0.826
14 O 0.484 0.108 0.286
15 O 0.516 0.892 0.714
16 O 0.684 0.306 0.174
17 O 0.694 0.316 0.826
18 O 0.814 0.814 0.522
19 O 0.821 0.821 0.112
20 O 0.892 0.516 0.714

---

Repeat the second record exactly.
For MgTeWO6, a DFT-relaxed cell (GGA+U, the Materials Project) gives the simulated powder diffractogram in this record (Cu Kα, 1.54184 Å).
Neutral-atom scattering factors, no anomalous dispersion.

Main lines, most intense first (2θ from 15° to 90°):
two_theta  I (rel.)
22.25  1000
22.74  500
31.46  453
30.18  251
31.84  241
32.69  207
33.74  142
51.27  130
46.45  108
45.33  108
54.47  95
53.67  91

Cell and atoms:
a b c (Å): 5.315 5.493 5.711
angles (deg): 63.85 62.36 62.74
Positions (direct):
1 Mg 0.000 0.000 0.000
2 Te 0.842 0.745 0.698
3 W 0.299 0.253 0.248
4 O 0.037 0.577 0.097
5 O 0.061 0.013 0.608
6 O 0.180 0.461 0.533
7 O 0.311 0.027 0.080
8 O 0.638 0.356 0.982
9 O 0.675 0.952 0.400